# 1
For Ho2Sc4Sb3N2, a DFT-relaxed cell (PBE, Alexandria) gives the theoretical powder diffractogram in this record (a wavelength of 1.5418 Å).

Peak list (6 most intense, 15 to 90 degrees two-theta, low angle first)
2θ (°)  I (rel.)
28.83  56.7
29.77  44.7
32.91  29.4
36.52  100.0
41.23  59.6
72.07  26.2

Structural model:
Cell: 12.5472 12.5472 12.5472 Å, 159.90 159.90 28.58°
Element x y z (fractional)
Ho (0.1918, 0.1918, 0.0000)
Ho (0.8082, 0.8082, 0.0000)
Sc (0.0830, 0.5830, 0.5000)
Sc (0.4170, 0.9170, 0.5000)
Sc (0.5830, 0.0830, 0.5000)
Sc (0.9170, 0.4170, 0.5000)
Sb (0.3225, 0.3225, 0.0000)
Sb (0.5000, 0.5000, 0.0000)
Sb (0.6775, 0.6775, 0.0000)
N (0.0960, 0.0960, 0.0000)
N (0.9040, 0.9040, 0.0000)



# 2
For TbPrMgCu, a DFT-relaxed cell (PBE, Alexandria) gives the theoretical powder diffractogram in this record (a wavelength of 1.5418 Å).

Peak list (6 most intense, 15 to 90 degrees two-theta, low angle first)
2θ (°)  I (rel.)
23.99  32.8
34.19  100.0
49.13  17.8
55.39  13.9
61.22  36.4
82.19  15.5

Structural model:
Cell: 5.2450 5.2450 5.2450 Å, 60.00 60.00 60.00°
Element x y z (fractional)
Tb (0.0000, 0.0000, 0.0000)
Pr (0.5000, 0.5000, 0.5000)
Mg (0.2500, 0.2500, 0.2500)
Cu (0.7500, 0.7500, 0.7500)



# 3
For PuPbSe2O8, a DFT-relaxed cell (PBE, Alexandria) gives the theoretical powder diffractogram in this record (a wavelength of 1.5418 Å).

Peak list (6 most intense, 15 to 90 degrees two-theta, low angle first)
2θ (°)  I (rel.)
22.54  37.2
25.83  97.8
27.40  100.0
28.20  34.6
31.43  36.9
42.73  29.4

Structural model:
Cell: 7.2728 7.2728 5.4928 Å, 107.43 107.43 46.08°
Element x y z (fractional)
Pu (0.0000, 0.0000, 0.0000)
Pb (0.5000, 0.5000, 0.5000)
Se (0.2213, 0.2213, 0.6647)
Se (0.7787, 0.7787, 0.3353)
O (0.0997, 0.0997, 0.4414)
O (0.1521, 0.6824, 0.0876)
O (0.3013, 0.3013, 0.4828)
O (0.3176, 0.8479, 0.9124)
O (0.6824, 0.1521, 0.0876)
O (0.6987, 0.6987, 0.5172)
O (0.8479, 0.3176, 0.9124)
O (0.9003, 0.9003, 0.5586)



# 4
For K2NaPSe4, a DFT-relaxed cell (PBE, Alexandria) gives the theoretical powder diffractogram in this record (a wavelength of 1.5418 Å).

Peak list (6 most intense, 15 to 90 degrees two-theta, low angle first)
2θ (°)  I (rel.)
17.08  100.0
24.84  38.9
26.32  50.7
34.13  39.0
34.55  58.9
37.01  53.8

Structural model:
Cell: 8.1041 8.1041 7.6472 Å, 96.62 96.62 92.68°
Element x y z (fractional)
K (0.0000, 0.0000, 0.0000)
K (0.0000, 0.0000, 0.5000)
K (0.0000, 0.5000, 0.0000)
K (0.5000, 0.0000, 0.5000)
Na (0.5000, 0.5000, 0.0000)
Na (0.5000, 0.5000, 0.5000)
P (0.0000, 0.5000, 0.5000)
P (0.5000, 0.0000, 0.0000)
Se (0.2036, 0.6739, 0.3942)
Se (0.2147, 0.3561, 0.6533)
Se (0.3261, 0.7964, 0.1058)
Se (0.3561, 0.2147, 0.1533)
Se (0.6439, 0.7853, 0.8467)
Se (0.6739, 0.2036, 0.8942)
Se (0.7853, 0.6439, 0.3467)
Se (0.7964, 0.3261, 0.6058)



# 5
For Ba2ThPaP4, a DFT-relaxed cell (PBE, Alexandria) gives the theoretical powder diffractogram in this record (a wavelength of 1.5418 Å).

Peak list (6 most intense, 15 to 90 degrees two-theta, low angle first)
2θ (°)  I (rel.)
24.31  27.9
25.50  70.0
29.19  100.0
41.00  37.2
42.50  36.5
49.57  26.1

Structural model:
Cell: 7.3615 4.2572 7.7223 Å, 90.00 108.53 90.00°
Element x y z (fractional)
Ba (0.0000, 0.0000, 0.0000)
Ba (0.5000, 0.5000, 0.0000)
Th (0.0000, 0.5000, 0.5000)
Pa (0.5000, 0.0000, 0.5000)
P (0.2467, 0.0000, 0.7049)
P (0.2774, 0.5000, 0.2998)
P (0.7226, 0.5000, 0.7002)
P (0.7533, 0.0000, 0.2951)



# 6
For ZrZn5, a DFT-relaxed cell (PBE, Alexandria) gives the theoretical powder diffractogram in this record (a wavelength of 1.5418 Å).

Peak list (6 most intense, 15 to 90 degrees two-theta, low angle first)
2θ (°)  I (rel.)
37.13  62.8
37.91  56.2
40.28  100.0
43.61  79.0
48.38  26.5
66.65  19.4

Structural model:
Cell: 5.9889 5.9889 6.2213 Å, 103.92 103.92 26.90°
Element x y z (fractional)
Zr (0.0000, 0.0000, 0.0000)
Zn (0.3166, 0.3166, 0.1706)
Zn (0.3308, 0.3308, 0.6445)
Zn (0.6688, 0.6688, 0.3562)
Zn (0.6819, 0.6819, 0.8264)
Zn (0.9988, 0.9988, 0.4985)



# 7
For LiCd2Pd6, a DFT-relaxed cell (PBE, Alexandria) gives the theoretical powder diffractogram in this record (a wavelength of 1.5418 Å).

Peak list (6 most intense, 15 to 90 degrees two-theta, low angle first)
2θ (°)  I (rel.)
38.98  100.0
44.23  17.8
45.85  30.3
65.60  20.2
77.85  12.6
80.18  20.8

Structural model:
Cell: 8.3970 8.3970 4.0956 Å, 90.00 90.00 90.00°
Element x y z (fractional)
Li (0.0000, 0.0000, 0.0000)
Li (0.5000, 0.5000, 0.5000)
Cd (0.1764, 0.1764, 0.5000)
Cd (0.3236, 0.6764, 0.0000)
Cd (0.6764, 0.3236, 0.0000)
Cd (0.8236, 0.8236, 0.5000)
Pd (0.0089, 0.3333, 0.0000)
Pd (0.1550, 0.8450, 0.5000)
Pd (0.1667, 0.5089, 0.5000)
Pd (0.3333, 0.0089, 0.0000)
Pd (0.3450, 0.3450, 0.0000)
Pd (0.4911, 0.8333, 0.5000)
Pd (0.5089, 0.1667, 0.5000)
Pd (0.6550, 0.6550, 0.0000)
Pd (0.6667, 0.9911, 0.0000)
Pd (0.8333, 0.4911, 0.5000)
Pd (0.8450, 0.1550, 0.5000)
Pd (0.9911, 0.6667, 0.0000)



Copy entry 2 word for word.
For TbPrMgCu, a DFT-relaxed cell (PBE, Alexandria) gives the theoretical powder diffractogram in this record (a wavelength of 1.5418 Å).

Peak list (6 most intense, 15 to 90 degrees two-theta, low angle first)
2θ (°)  I (rel.)
23.99  32.8
34.19  100.0
49.13  17.8
55.39  13.9
61.22  36.4
82.19  15.5

Structural model:
Cell: 5.2450 5.2450 5.2450 Å, 60.00 60.00 60.00°
Element x y z (fractional)
Tb (0.0000, 0.0000, 0.0000)
Pr (0.5000, 0.5000, 0.5000)
Mg (0.2500, 0.2500, 0.2500)
Cu (0.7500, 0.7500, 0.7500)



Q: What is the formula in the fourth record?
A: K2NaPSe4